# Sr4AgAuN
Calculated powder diffractogram, Cu Kα. Input: a PBE-relaxed structure.
Kinematic intensities with the Lorentz-polarization factor, no thermal factor.

Most intense lines, 10 to 80 degrees two-theta, by intensity:
| 2theta | Rel. int. |
| --- | --- |
| 33.0 | 100 |
| 34.7 | 64 |
| 26.8 | 44 |
| 24.4 | 36 |
| 61.2 | 34 |
| 48.8 | 23 |
| 49.9 | 22 |
| 32.6 | 18 |
| 33.2 | 18 |
| 18.0 | 13 |

a = 8.884 Å, b = 8.884 Å, c = 7.306 Å
α = 90.00°, β = 90.00°, γ = 131.44°
Sites, in units of the cell vectors:
Sr 0.000 0.500 0.000
Sr 0.000 0.500 0.500
Sr 0.084 0.916 0.750
Sr 0.412 0.588 0.750
Sr 0.500 0.000 0.000
Sr 0.500 0.000 0.500
Sr 0.588 0.412 0.250
Sr 0.916 0.084 0.250
Ag 0.387 0.613 0.250
Ag 0.613 0.387 0.750
Au 0.117 0.883 0.250
Au 0.883 0.117 0.750
N 0.250 0.750 0.750
N 0.750 0.250 0.250